This entry pairs a crystal structure of Fe7O3F13 with its theoretical powder X-ray diffraction pattern. Radiation: Cu Kα, 1.54184 Å. Structure: a structure optimized by DFT (GGA+U).

Most intense lines, 10° ≤ 2θ ≤ 90°, in order of falling intensity:
2θ (°), I_rel
33.5, 100
16.6, 99
16.9, 93
17.4, 87
17.7, 78
41.1, 48
45.8, 47
34.2, 37
28.8, 31
22.1, 28

Cell lengths 6.168, 6.199, 10.599 Å; angles 106.71, 90.56, 118.57 degrees
Space group P1 (No. 1)
One atom of each set of equivalent atoms:
1 Fe 0.000 0.000 0.000 x1
2 Fe 0.000 0.498 0.004 x1
3 Fe 0.020 0.998 0.489 x1
4 Fe 0.084 0.474 0.669 x1
5 Fe 0.284 0.261 0.235 x1
6 Fe 0.509 0.524 0.492 x1
7 Fe 0.736 0.753 0.735 x1
8 O 0.388 0.614 0.626 x1
9 O 0.901 0.672 0.611 x1
10 O 0.951 0.171 0.106 x1
11 F 0.105 0.855 0.889 x1
12 F 0.111 0.372 0.867 x1
13 F 0.140 0.343 0.364 x1
14 F 0.146 0.935 0.360 x1
15 F 0.341 0.591 0.114 x1
16 F 0.346 0.123 0.112 x1
17 F 0.353 0.154 0.590 x1
18 F 0.589 0.393 0.356 x1
19 F 0.679 0.887 0.395 x1
20 F 0.701 0.424 0.872 x1
21 F 0.704 0.919 0.866 x1
22 F 0.911 0.658 0.103 x1
23 F 0.919 0.139 0.617 x1